Diffraction record for InFe2CuSe4. The powder diffraction line list is theoretical, not measured: it uses DFT lattice parameters and positions (GGA-PBE) and Cu Kα, 1.54184 Å.
Lines closer than 0.1° are merged.

Cell lengths 5.765, 5.765, 11.554 Å; angles 90.00, 90.00, 90.00 degrees
Fractional coordinates of all 16 atoms:
In 0.000 0.000 0.000
In 0.500 0.500 0.500
Fe 0.000 0.500 0.250
Fe 0.000 0.500 0.750
Fe 0.500 0.000 0.250
Fe 0.500 0.000 0.750
Cu 0.000 0.000 0.500
Cu 0.500 0.500 0.000
Se 0.233 0.233 0.368
Se 0.233 0.767 0.632
Se 0.267 0.267 0.868
Se 0.267 0.733 0.132
Se 0.733 0.267 0.132
Se 0.733 0.733 0.868
Se 0.767 0.233 0.632
Se 0.767 0.767 0.368

Largest 10 diffraction maxima, sorted by position, 5° ≤ 2θ ≤ 70°:
| 2theta | I/Imax | index |
| --- | --- | --- |
| 21.80 | 2 | 1 1 0 |
| 26.77 | 100 | 1 1 2 |
| 27.86 | 3 | 1 0 3 |
| 34.78 | 2 | 2 0 2 |
| 35.68 | 4 | 2 1 1 |
| 44.42 | 72 | 2 0 4 |
| 52.62 | 42 | 1 1 6 |
| 62.94 | 2 | 3 2 3 |
| 64.52 | 4 | 0 0 8 |
| 64.67 | 7 | 4 0 0 |